The following is a simulated powder XRD pattern of SmH3C3O6. It was derived from a structure optimized by DFT (GGA-PBE), using CuKα.
Peak positions follow from Bragg's law for the DFT cell and can differ from measured ones.

Largest 10 diffraction maxima, sorted by position, 2θ from 10° to 80°:
2θ 16.70, rel. 100.0, hkl 1 1 0
2θ 23.86, rel. 31.6, hkl 1 0 1
2θ 29.14, rel. 11.7, hkl 3 0 0
2θ 29.27, rel. 32.9, hkl 0 2 1
2θ 33.77, rel. 33.2, hkl 2 2 0
2θ 33.89, rel. 41.7, hkl 2 1 1
2θ 41.77, rel. 27.6, hkl 1 3 1
2θ 45.24, rel. 25.8, hkl 4 0 1
2θ 45.56, rel. 15.9, hkl 0 1 2
2θ 48.59, rel. 20.0, hkl 3 2 1

Structural model:
Lattice parameters (Å, degrees): 10.6170 10.6170 4.0791 90.00 90.00 120.00
Space group R3m (No. 160, hexagonal axes)
One atom of each set of equivalent atoms:
Sm1 0.0000 0.0000 0.0000 [3 per cell]
H1 0.0107 0.5054 0.1308 [9 per cell]
C1 0.1799 0.3598 0.2068 [9 per cell]
O1 0.0678 0.5339 0.6474 [9 per cell]
O2 0.1692 0.0846 0.4930 [9 per cell]



The following is a simulated powder XRD pattern of SmHCO4. It was derived from a structure optimized by DFT (GGA-PBE), using CuKα.
Peak positions follow from Bragg's law for the DFT cell and can differ from measured ones.

Largest 10 diffraction maxima, sorted by position, 2θ from 10° to 80°:
2θ 15.99, rel. 35.1, hkl 0 1 1
2θ 20.69, rel. 100.0, hkl 1 0 1
2θ 24.09, rel. 70.5, hkl 0 1 2
2θ 26.70, rel. 37.0, hkl 0 2 1
2θ 30.59, rel. 50.3, hkl 1 2 0
2θ 33.60, rel. 21.3, hkl 0 1 3
2θ 36.30, rel. 21.1, hkl 2 0 0
2θ 38.33, rel. 37.5, hkl 1 1 3
2θ 44.02, rel. 32.6, hkl 2 1 2
2θ 45.63, rel. 33.5, hkl 2 2 1

Structural model:
Lattice parameters (Å, degrees): 4.9494 7.2440 8.6069 90.00 90.00 90.00
Space group P2_12_12_1 (No. 19)
One atom of each set of equivalent atoms:
Sm1 0.0019 0.1094 0.1633 [4 per cell]
H1 0.1106 0.7470 0.0297 [4 per cell]
C1 0.0007 0.5519 0.6757 [4 per cell]
O1 0.0006 0.9545 0.6993 [4 per cell]
O2 0.0053 0.2914 0.3860 [4 per cell]
O3 0.2239 0.0965 0.8924 [4 per cell]
O4 0.2287 0.5973 0.6108 [4 per cell]



The following is a simulated powder XRD pattern of SrH3C3O7. It was derived from a structure optimized by DFT (GGA-PBE), using CuKα.
Peak positions follow from Bragg's law for the DFT cell and can differ from measured ones.

Largest 10 diffraction maxima, sorted by position, 2θ from 10° to 80°:
2θ 14.87, rel. 80.9, hkl 0 1 1
2θ 17.40, rel. 65.7, hkl 0 2 1
2θ 18.60, rel. 100.0, hkl 1 2 -1
2θ 26.01, rel. 96.0, hkl 1 4 -1
2θ 30.74, rel. 65.4, hkl 1 1 1
2θ 32.26, rel. 89.5, hkl 0 3 2
2θ 34.36, rel. 45.7, hkl 1 1 -3
2θ 37.47, rel. 41.1, hkl 2 2 -3
2θ 38.84, rel. 50.9, hkl 1 6 -2
2θ 44.84, rel. 41.5, hkl 2 6 -2

Structural model:
Lattice parameters (Å, degrees): 5.8055 17.0484 8.0693 90.00 127.98 90.00
Space group P2_1/c (No. 14)
One atom of each set of equivalent atoms:
Sr1 0.1432 0.0815 0.3790 [4 per cell]
H1 0.1725 0.6040 0.8712 [4 per cell]
H2 0.2438 0.5693 0.7185 [4 per cell]
H3 0.3562 0.7458 0.3552 [4 per cell]
C1 0.0544 0.2381 0.6295 [4 per cell]
C2 0.3119 0.2208 0.1513 [4 per cell]
C3 0.4906 0.5178 0.5852 [4 per cell]
O1 0.0044 0.1673 0.5743 [4 per cell]
O2 0.0794 0.7190 0.3252 [4 per cell]
O3 0.2575 0.5546 0.5174 [4 per cell]
O4 0.2859 0.5641 0.8587 [4 per cell]
O5 0.2929 0.0078 0.7234 [4 per cell]
O6 0.3676 0.1508 0.1969 [4 per cell]
O7 0.4586 0.2305 0.6195 [4 per cell]



The following is a simulated powder XRD pattern of SrH2C2O4. It was derived from a structure optimized by DFT (GGA-PBE), using CuKα.
Peak positions follow from Bragg's law for the DFT cell and can differ from measured ones.

Largest 10 diffraction maxima, sorted by position, 2θ from 10° to 80°:
2θ 14.87, rel. 100.0, hkl 1 0 1
2θ 24.65, rel. 63.7, hkl 2 0 0
2θ 28.24, rel. 35.8, hkl 1 0 3
2θ 34.01, rel. 17.6, hkl 0 0 4
2θ 37.83, rel. 13.7, hkl 2 1 3
2θ 38.35, rel. 20.8, hkl 3 0 1
2θ 42.46, rel. 19.8, hkl 2 0 4
2θ 43.17, rel. 20.4, hkl 3 1 2
2θ 45.68, rel. 15.0, hkl 3 0 3
2θ 46.13, rel. 11.4, hkl 3 2 1

Structural model:
Lattice parameters (Å, degrees): 7.2221 7.2221 10.5440 90.00 90.00 90.00
Space group P4_12_12 (No. 92)
One atom of each set of equivalent atoms:
Sr1 0.2338 0.2338 0.0000 [4 per cell]
H1 0.1449 0.1980 0.3839 [8 per cell]
C1 0.2236 0.2270 0.7038 [8 per cell]
O1 0.0841 0.2646 0.7733 [8 per cell]
O2 0.1125 0.7723 0.5195 [8 per cell]



The following is a simulated powder XRD pattern of SrH2C2O4. It was derived from a structure optimized by DFT (GGA-PBE), using CuKα.
Peak positions follow from Bragg's law for the DFT cell and can differ from measured ones.

Largest 10 diffraction maxima, sorted by position, 2θ from 10° to 80°:
2θ 15.63, rel. 27.0, hkl 0 1 1
2θ 16.14, rel. 100.0, hkl 1 0 1
2θ 26.72, rel. 55.0, hkl 1 1 2
2θ 29.14, rel. 60.0, hkl 1 2 1
2θ 30.00, rel. 39.0, hkl 2 1 1
2θ 32.69, rel. 45.1, hkl 0 1 3
2θ 35.33, rel. 31.4, hkl 2 2 0
2θ 41.88, rel. 27.6, hkl 2 1 3
2θ 44.04, rel. 27.9, hkl 1 3 2
2θ 45.64, rel. 27.8, hkl 3 1 2

Structural model:
Lattice parameters (Å, degrees): 7.0013 7.3852 8.8472 90.00 90.00 90.00
Space group P2_12_12_1 (No. 19)
One atom of each set of equivalent atoms:
Sr1 0.0041 0.2412 0.1646 [4 per cell]
H1 0.0280 0.9958 0.7786 [4 per cell]
H2 0.2099 0.2935 0.5108 [4 per cell]
C1 0.1139 0.5569 0.6994 [4 per cell]
C2 0.2304 0.1446 0.5082 [4 per cell]
O1 0.1256 0.6846 0.6032 [4 per cell]
O2 0.1380 0.0585 0.4075 [4 per cell]
O3 0.1549 0.9219 0.1042 [4 per cell]
O4 0.2438 0.5025 0.2734 [4 per cell]



- Which formula does entry 4 have?
  SrH2C2O4